[1]
Calculated powder diffraction line list
Compound: DyY3Pt8
Radiation: a wavelength of 1.5418 Å
Structure: a structure optimized by DFT (PBE)
No peak broadening, texture or thermal motion is included.

Crystal structure
Lattice parameters (Å, degrees): 5.4577 5.4577 8.8834 90.00 90.00 120.00
Space group P3m1 (No. 156)
One atom of each set of equivalent atoms:
Dy  0.0000  0.0000  0.0000 x1
Y  0.0000  0.0000  0.3700 x1
Y  0.6667  0.3333  0.5004 x1
Y  0.6667  0.3333  0.8709 x1
Pt  0.1642  0.3284  0.6858 x3
Pt  0.3333  0.6667  0.4357 x1
Pt  0.3333  0.6667  0.9356 x1
Pt  0.5024  0.0048  0.1852 x3

Peak list (12 most intense, 10 to 90 degrees two-theta, low angle first)
4.726 Å, I = 28
2.509 Å, I = 48
2.325 Å, I = 91
2.284 Å, I = 100
2.221 Å, I = 27
2.086 Å, I = 39
2.010 Å, I = 17
1.530 Å, I = 19
1.485 Å, I = 22
1.420 Å, I = 30
1.364 Å, I = 29
1.163 Å, I = 21


[2]
Calculated powder diffraction line list
Compound: Dy3ZnPt
Radiation: a wavelength of 1.5418 Å
Structure: a structure optimized by DFT (PBE)
No peak broadening, texture or thermal motion is included.

Crystal structure
Lattice parameters (Å, degrees): 4.9659 19.4879 4.9558 90.00 90.00 90.00
Space group Cmcm (No. 63)
One atom of each set of equivalent atoms:
Dy  0.0000  0.0679  0.2500 x4
Dy  0.0000  0.2496  0.2500 x4
Dy  0.0000  0.4300  0.2500 x4
Zn  0.0000  0.1568  0.7500 x4
Pt  0.0000  0.3366  0.7500 x4

Peak list (12 most intense, 10 to 90 degrees two-theta, low angle first)
2.607 Å, I = 100
2.480 Å, I = 54
2.181 Å, I = 13
1.754 Å, I = 19
1.532 Å, I = 10
1.456 Å, I = 17
1.454 Å, I = 17
1.367 Å, I = 6
1.359 Å, I = 9
1.304 Å, I = 6
1.192 Å, I = 6
1.120 Å, I = 8


[3]
Calculated powder diffraction line list
Compound: DyZn4Pt2
Radiation: a wavelength of 1.5418 Å
Structure: a structure optimized by DFT (PBE)
No peak broadening, texture or thermal motion is included.

Crystal structure
Lattice parameters (Å, degrees): 7.4971 7.4971 4.2905 90.00 90.00 90.00
Space group P4_2/mnm (No. 136)
One atom of each set of equivalent atoms:
Dy  0.0000  0.0000  0.0000 x2
Zn  0.1005  0.3539  0.5000 x8
Pt  0.2130  0.7870  0.5000 x4

Peak list (12 most intense, 10 to 90 degrees two-theta, low angle first)
3.335 Å, I = 52
2.651 Å, I = 54
2.642 Å, I = 96
2.255 Å, I = 40
2.159 Å, I = 32
2.145 Å, I = 52
2.075 Å, I = 100
1.818 Å, I = 30
1.668 Å, I = 28
1.415 Å, I = 23
1.387 Å, I = 25
1.324 Å, I = 32


[4]
Calculated powder diffraction line list
Compound: Dy2Zn5Pt
Radiation: a wavelength of 1.5418 Å
Structure: a structure optimized by DFT (PBE)
No peak broadening, texture or thermal motion is included.

Crystal structure
Lattice parameters (Å, degrees): 4.0244 16.5077 9.0977 90.00 90.00 90.00
Space group Cmcm (No. 63)
One atom of each set of equivalent atoms:
Dy  0.0000  0.0000  0.0000 x4
Dy  0.0000  0.1831  0.2500 x4
Zn  0.0000  0.1983  0.6081 x8
Zn  0.0000  0.3561  0.5207 x8
Zn  0.0000  0.3934  0.2500 x4
Pt  0.0000  0.4512  0.7500 x4

Peak list (12 most intense, 10 to 90 degrees two-theta, low angle first)
6.113 Å, I = 23
2.965 Å, I = 36
2.644 Å, I = 100
2.552 Å, I = 52
2.458 Å, I = 23
2.396 Å, I = 27
2.274 Å, I = 22
2.038 Å, I = 23
2.012 Å, I = 41
1.953 Å, I = 21
1.879 Å, I = 17
1.374 Å, I = 17


[5]
Calculated powder diffraction line list
Compound: Dy2Zn15Pt2
Radiation: a wavelength of 1.5418 Å
Structure: a structure optimized by DFT (PBE)
No peak broadening, texture or thermal motion is included.

Crystal structure
Lattice parameters (Å, degrees): 8.9645 8.9645 13.2022 90.00 90.00 120.00
Space group R-3m (No. 166, hexagonal axes)
One atom of each set of equivalent atoms:
Dy  0.0000  0.0000  0.1649 x6
Zn  0.0000  0.2874  0.5000 x18
Zn  0.0000  0.5000  0.0000 x9
Zn  0.0063  0.5032  0.6502 x18
Pt  0.0000  0.0000  0.3876 x6

Peak list (12 most intense, 10 to 90 degrees two-theta, low angle first)
6.692 Å, I = 36
4.482 Å, I = 37
3.037 Å, I = 28
2.588 Å, I = 73
2.514 Å, I = 61
2.241 Å, I = 100
2.231 Å, I = 62
2.200 Å, I = 29
2.193 Å, I = 45
2.183 Å, I = 45
1.997 Å, I = 46
1.276 Å, I = 32


[6]
Calculated powder diffraction line list
Compound: Dy2Zn16Pt
Radiation: a wavelength of 1.5418 Å
Structure: a structure optimized by DFT (PBE)
No peak broadening, texture or thermal motion is included.

Crystal structure
Lattice parameters (Å, degrees): 8.9630 8.9630 13.1523 90.00 90.00 120.00
Space group R3m (No. 160, hexagonal axes)
One atom of each set of equivalent atoms:
Dy  0.0000  0.0000  0.0000 x3
Dy  0.0000  0.0000  0.3306 x3
Zn  0.0000  0.0000  0.5662 x3
Zn  0.0005  0.2933  0.6691 x18
Zn  0.0123  0.5062  0.8189 x9
Zn  0.1675  0.3351  0.5018 x9
Zn  0.1696  0.3392  0.8498 x9
Pt  0.0000  0.0000  0.7696 x3

Peak list (12 most intense, 10 to 90 degrees two-theta, low angle first)
3.134 Å, I = 26
2.587 Å, I = 62
2.509 Å, I = 42
2.241 Å, I = 87
2.228 Å, I = 100
2.191 Å, I = 59
2.177 Å, I = 37
1.995 Å, I = 37
1.581 Å, I = 19
1.566 Å, I = 25
1.293 Å, I = 31
1.272 Å, I = 28


[7]
Calculated powder diffraction line list
Compound: Dy8Pu
Radiation: a wavelength of 1.5418 Å
Structure: a structure optimized by DFT (PBE)
No peak broadening, texture or thermal motion is included.

Crystal structure
Lattice parameters (Å, degrees): 10.5655 10.5655 4.9835 90.00 90.00 90.00
Space group I4/mmm (No. 139)
One atom of each set of equivalent atoms:
Dy  0.0000  0.3314  0.0000 x8
Dy  0.1647  0.1647  0.5000 x8
Pu  0.0000  0.0000  0.0000 x2

Peak list (12 most intense, 10 to 90 degrees two-theta, low angle first)
7.471 Å, I = 1
5.283 Å, I = 1
4.507 Å, I = 1
3.429 Å, I = 1
2.876 Å, I = 100
2.491 Å, I = 51
1.761 Å, I = 36
1.502 Å, I = 43
1.438 Å, I = 12
1.245 Å, I = 6
1.143 Å, I = 18
1.114 Å, I = 17


[8]
Calculated powder diffraction line list
Compound: DyPu3
Radiation: a wavelength of 1.5418 Å
Structure: a structure optimized by DFT (PBE)
No peak broadening, texture or thermal motion is included.

Crystal structure
Lattice parameters (Å, degrees): 3.5468 5.2305 5.4075 90.00 90.00 90.00
Space group Pmm2 (No. 25)
One atom of each set of equivalent atoms:
Dy  0.0000  0.0000  0.0000 x1
Pu  0.0000  0.5000  0.4329 x1
Pu  0.5000  0.0000  0.4883 x1
Pu  0.5000  0.5000  0.7690 x1

Peak list (12 most intense, 10 to 90 degrees two-theta, low angle first)
5.407 Å, I = 23
3.760 Å, I = 9
2.966 Å, I = 17
2.704 Å, I = 9
2.615 Å, I = 37
2.580 Å, I = 100
2.402 Å, I = 20
1.989 Å, I = 21
1.962 Å, I = 10
1.773 Å, I = 12
1.503 Å, I = 20
1.468 Å, I = 13


[9]
Calculated powder diffraction line list
Compound: Rb3DyPu3Se8
Radiation: a wavelength of 1.5418 Å
Structure: a structure optimized by DFT (PBE)
No peak broadening, texture or thermal motion is included.

Crystal structure
Lattice parameters (Å, degrees): 14.7389 8.4906 9.4469 90.00 121.24 90.00
Space group C2/m (No. 12)
One atom of each set of equivalent atoms:
Rb  0.0000  0.0000  0.0000 x2
Rb  0.2500  0.2500  0.0000 x4
Dy  0.0000  0.0000  0.5000 x2
Pu  0.0000  0.5000  0.5000 x2
Pu  0.2500  0.2500  0.5000 x4
Se  0.0191  0.2495  0.3089 x8
Se  0.2302  0.0000  0.6893 x4
Se  0.2320  0.5000  0.6937 x4

Peak list (12 most intense, 10 to 90 degrees two-theta, low angle first)
8.077 Å, I = 70
4.039 Å, I = 9
3.639 Å, I = 13
3.522 Å, I = 11
3.146 Å, I = 100
2.520 Å, I = 15
2.339 Å, I = 34
2.125 Å, I = 37
2.055 Å, I = 15
1.890 Å, I = 13
1.761 Å, I = 19
1.355 Å, I = 10


[10]
Calculated powder diffraction line list
Compound: Rb2DyPuSe4
Radiation: a wavelength of 1.5418 Å
Structure: a structure optimized by DFT (PBE)
No peak broadening, texture or thermal motion is included.

Crystal structure
Lattice parameters (Å, degrees): 7.4362 4.2831 8.3447 90.00 107.25 90.00
Space group P2/m (No. 10)
One atom of each set of equivalent atoms:
Rb  0.0000  0.0000  0.0000 x1
Rb  0.5000  0.5000  0.0000 x1
Dy  0.0000  0.5000  0.5000 x1
Pu  0.5000  0.0000  0.5000 x1
Se  0.2276  0.0000  0.6958 x2
Se  0.2656  0.5000  0.3055 x2

Peak list (12 most intense, 10 to 90 degrees two-theta, low angle first)
7.970 Å, I = 41
3.547 Å, I = 12
3.154 Å, I = 100
2.514 Å, I = 15
2.328 Å, I = 34
2.144 Å, I = 37
2.070 Å, I = 9
1.876 Å, I = 9
1.772 Å, I = 13
1.577 Å, I = 10
1.460 Å, I = 11
1.367 Å, I = 11


[11]
Calculated powder diffraction line list
Compound: Rb3DyPu3Te8
Radiation: a wavelength of 1.5418 Å
Structure: a structure optimized by DFT (PBE)
No peak broadening, texture or thermal motion is included.

Crystal structure
Lattice parameters (Å, degrees): 9.0243 9.0243 25.9615 90.00 90.00 120.00
Space group R-3m (No. 166, hexagonal axes)
One atom of each set of equivalent atoms:
Rb  0.0000  0.5000  0.0000 x9
Dy  0.0000  0.0000  0.5000 x3
Pu  0.0000  0.5000  0.5000 x9
Te  0.0000  0.0000  0.2326 x6
Te  0.0005  0.5003  0.7680 x18

Peak list (12 most intense, 10 to 90 degrees two-theta, low angle first)
8.654 Å, I = 60
3.348 Å, I = 100
2.690 Å, I = 24
2.497 Å, I = 34
2.256 Å, I = 37
2.183 Å, I = 14
2.020 Å, I = 14
1.871 Å, I = 19
1.674 Å, I = 14
1.440 Å, I = 16
1.373 Å, I = 15
1.344 Å, I = 12


[12]
Calculated powder diffraction line list
Compound: DyPu2Rh9
Radiation: a wavelength of 1.5418 Å
Structure: a structure optimized by DFT (PBE)
No peak broadening, texture or thermal motion is included.

Crystal structure
Lattice parameters (Å, degrees): 5.2481 5.2481 26.3353 90.00 90.00 120.00
Space group R-3m (No. 166, hexagonal axes)
One atom of each set of equivalent atoms:
Dy  0.0000  0.0000  0.0000 x3
Pu  0.0000  0.0000  0.1400 x6
Rh  0.0000  0.0000  0.3333 x6
Rh  0.0000  0.0000  0.5000 x3
Rh  0.0027  0.5013  0.9167 x18

Peak list (12 most intense, 10 to 90 degrees two-theta, low angle first)
2.898 Å, I = 40
2.666 Å, I = 34
2.624 Å, I = 47
2.264 Å, I = 37
2.252 Å, I = 100
2.195 Å, I = 14
2.148 Å, I = 17
2.118 Å, I = 22
2.087 Å, I = 25
1.563 Å, I = 14
1.432 Å, I = 24
1.312 Å, I = 25